# DyTiCuOs
Calculated PXRD pattern, Cu Ka. Input: DFT lattice parameters and positions (GGA-PBE).
Neutral-atom scattering factors, no anomalous dispersion.

Principal peaks in the range 10° ≤ 2θ ≤ 90°, by intensity:
d/Å  I_rel  hkl
2.309  100  2 2 0
1.333  34  4 2 2
3.771  29  1 1 1
1.633  17  4 0 0
1.969  16  3 1 1
1.155  11  4 4 0
1.498  7  3 3 1
1.104  6  5 3 1
1.257  5  5 1 1
3.266  1  2 0 0

Cell and atoms:
```
data_DyTiCuOs
_chemical_formula_sum 'Dy4 Ti4 Cu4 Os4'
_cell_length_a 6.5317
_cell_length_b 6.5317
_cell_length_c 6.5317
_cell_angle_alpha 90.00
_cell_angle_beta 90.00
_cell_angle_gamma 90.00
_space_group_name_H-M_alt 'F -4 3 m'
_space_group_IT_number 216
_space_group_name_Hall 'F -4 2 3'
loop_
_atom_site_label
_atom_site_type_symbol
_atom_site_fract_x
_atom_site_fract_y
_atom_site_fract_z
Dy1 Dy 0.0000 0.0000 0.0000
Ti1 Ti 0.0000 0.0000 0.5000
Cu1 Cu 0.2500 0.2500 0.2500
Os1 Os 0.2500 0.2500 0.7500
```

***

# Dy4Cu5P7
Calculated PXRD pattern, Cu Ka. Input: DFT lattice parameters and positions (GGA-PBE).
Neutral-atom scattering factors, no anomalous dispersion.

Principal peaks in the range 10° ≤ 2θ ≤ 90°, by intensity:
d/Å  I_rel  hkl
2.317  100  2 0 4
3.481  68  1 1 2
2.444  38  1 1 6
1.865  29  2 2 0
2.426  21  0 0 8
1.146  20  4 2 4
1.478  17  2 2 8
1.644  16  3 1 2
1.482  16  3 1 6
1.722  15  1 1 10

Cell and atoms:
```
data_Dy4Cu5P7
_chemical_formula_sum 'Dy8 Cu10 P14'
_cell_length_a 5.2745
_cell_length_b 5.2745
_cell_length_c 19.4074
_cell_angle_alpha 90.00
_cell_angle_beta 90.00
_cell_angle_gamma 90.00
_space_group_name_H-M_alt 'I -4 2 m'
_space_group_IT_number 121
_space_group_name_Hall 'I -4 2'
loop_
_atom_site_label
_atom_site_type_symbol
_atom_site_fract_x
_atom_site_fract_y
_atom_site_fract_z
Dy1 Dy 0.2411 0.2411 0.1167
Cu1 Cu 0.0000 0.0000 0.2491
Cu2 Cu 0.0000 0.0000 0.5000
Cu3 Cu 0.0000 0.5000 0.2500
P1 P 0.0000 0.0000 0.0000
P2 P 0.0000 0.5000 0.0000
P3 P 0.2452 0.2452 0.3284
```

***

# DyCuPd5
Calculated PXRD pattern, Cu Ka. Input: DFT lattice parameters and positions (GGA-PBE).
Neutral-atom scattering factors, no anomalous dispersion.

Principal peaks in the range 10° ≤ 2θ ≤ 90°, by intensity:
d/Å  I_rel  hkl
2.227  100  1 1 2
2.148  51  2 0 0
2.756  31  1 1 1
1.255  30  3 1 2
1.519  17  2 2 0
1.531  13  2 0 3
1.302  12  2 0 4
2.183  10  0 0 3
3.592  10  1 0 1
1.203  9  1 1 5

Cell and atoms:
```
data_DyCuPd5
_chemical_formula_sum 'Dy1 Cu1 Pd5'
_cell_length_a 4.2962
_cell_length_b 4.2962
_cell_length_c 6.5493
_cell_angle_alpha 90.00
_cell_angle_beta 90.00
_cell_angle_gamma 90.00
_space_group_name_H-M_alt 'P 4/m m m'
_space_group_IT_number 123
_space_group_name_Hall '-P 4 2'
loop_
_atom_site_label
_atom_site_type_symbol
_atom_site_fract_x
_atom_site_fract_y
_atom_site_fract_z
Dy1 Dy 0.0000 0.0000 0.0000
Cu1 Cu 0.5000 0.5000 0.5000
Pd1 Pd 0.0000 0.5000 0.2870
Pd2 Pd 0.5000 0.5000 0.0000
```

***

# DyCu6Pd
Calculated PXRD pattern, Cu Ka. Input: DFT lattice parameters and positions (GGA-PBE).
Neutral-atom scattering factors, no anomalous dispersion.

Principal peaks in the range 10° ≤ 2θ ≤ 90°, by intensity:
d/Å  I_rel  hkl
1.997  100  2 1 1
2.187  63  2 0 1
1.307  48  3 1 2
2.445  46  2 0 0
3.458  24  1 1 0
1.094  14  4 2 0
1.223  13  4 0 0
1.356  13  3 2 0
1.547  5  3 1 0
1.729  4  2 2 0

Cell and atoms:
```
data_DyCu6Pd
_chemical_formula_sum 'Dy1 Cu6 Pd1'
_cell_length_a 4.8909
_cell_length_b 4.8909
_cell_length_c 4.8909
_cell_angle_alpha 90.00
_cell_angle_beta 90.00
_cell_angle_gamma 90.00
_space_group_name_H-M_alt 'P m -3'
_space_group_IT_number 200
_space_group_name_Hall '-P 2 2 3'
loop_
_atom_site_label
_atom_site_type_symbol
_atom_site_fract_x
_atom_site_fract_y
_atom_site_fract_z
Dy1 Dy 0.0000 0.0000 0.0000
Cu1 Cu 0.0000 0.5000 0.2583
Pd1 Pd 0.5000 0.5000 0.5000
```

***

What did the fourth record say?
# DyCu6Pd
Calculated PXRD pattern, Cu Ka. Input: DFT lattice parameters and positions (GGA-PBE).
Neutral-atom scattering factors, no anomalous dispersion.

Principal peaks in the range 10° ≤ 2θ ≤ 90°, by intensity:
d/Å  I_rel  hkl
1.997  100  2 1 1
2.187  63  2 0 1
1.307  48  3 1 2
2.445  46  2 0 0
3.458  24  1 1 0
1.094  14  4 2 0
1.223  13  4 0 0
1.356  13  3 2 0
1.547  5  3 1 0
1.729  4  2 2 0

Cell and atoms:
```
data_DyCu6Pd
_chemical_formula_sum 'Dy1 Cu6 Pd1'
_cell_length_a 4.8909
_cell_length_b 4.8909
_cell_length_c 4.8909
_cell_angle_alpha 90.00
_cell_angle_beta 90.00
_cell_angle_gamma 90.00
_space_group_name_H-M_alt 'P m -3'
_space_group_IT_number 200
_space_group_name_Hall '-P 2 2 3'
loop_
_atom_site_label
_atom_site_type_symbol
_atom_site_fract_x
_atom_site_fract_y
_atom_site_fract_z
Dy1 Dy 0.0000 0.0000 0.0000
Cu1 Cu 0.0000 0.5000 0.2583
Pd1 Pd 0.5000 0.5000 0.5000
```